Structure and theoretical powder XRD pattern of Fe3P2H8O8 (the GGA+U geometry in Alexandria; CuKα).
Intensities are scaled so that the largest is 100.

Largest 12 diffraction maxima, in order of falling intensity, 2θ = 5–70°:
d (Å)  I_rel
6.126  100
7.733  51
3.037  17
4.716  15
4.016  12
4.985  12
3.694  12
3.359  10
2.379  10
3.110  9
2.182  9
2.504  8

Structural model:
Lattice parameters (Å, degrees): 8.023 8.023 4.902 100.15 100.15 99.55
Sites, in units of the cell vectors:
1 Fe 0.000 0.000 0.000
2 Fe 0.407 0.593 0.000
3 Fe 0.593 0.407 0.000
4 P 0.319 0.319 0.341
5 P 0.681 0.681 0.659
6 H 0.078 0.140 0.723
7 H 0.140 0.078 0.723
8 H 0.155 0.769 0.989
9 H 0.231 0.845 0.011
10 H 0.769 0.155 0.989
11 H 0.845 0.231 0.011
12 H 0.860 0.922 0.277
13 H 0.922 0.860 0.277
14 O 0.164 0.164 0.286
15 O 0.257 0.468 0.214
16 O 0.376 0.376 0.672
17 O 0.468 0.257 0.214
18 O 0.532 0.743 0.786
19 O 0.624 0.624 0.328
20 O 0.743 0.532 0.786
21 O 0.836 0.836 0.714